Theoretical XRD peak list of K2RuO5 for copper Kα, from a GGA-PBE-relaxed structure.

Cell and atoms:
Unit cell a=6.309 b=8.074 c=11.629 alpha=90.00 beta=90.00 gamma=90.00
Fractional positions:
K (0.012, 0.152, 0.320)
K (0.046, 0.620, 0.552)
K (0.454, 0.380, 0.052)
K (0.488, 0.848, 0.820)
K (0.512, 0.348, 0.680)
K (0.546, 0.880, 0.448)
K (0.954, 0.120, 0.948)
K (0.988, 0.652, 0.180)
Ru (0.066, 0.063, 0.637)
Ru (0.434, 0.937, 0.137)
Ru (0.566, 0.437, 0.363)
Ru (0.934, 0.563, 0.863)
O (0.063, 0.461, 0.985)
O (0.116, 0.249, 0.562)
O (0.175, 0.559, 0.783)
O (0.215, 0.123, 0.766)
O (0.237, 0.102, 0.124)
O (0.263, 0.898, 0.624)
O (0.285, 0.877, 0.266)
O (0.325, 0.441, 0.283)
O (0.384, 0.751, 0.062)
O (0.437, 0.539, 0.485)
O (0.563, 0.039, 0.015)
O (0.616, 0.251, 0.438)
O (0.675, 0.941, 0.217)
O (0.715, 0.377, 0.234)
O (0.737, 0.398, 0.876)
O (0.763, 0.602, 0.376)
O (0.785, 0.623, 0.734)
O (0.825, 0.059, 0.717)
O (0.884, 0.749, 0.938)
O (0.937, 0.961, 0.515)

Peak list (10 most intense, 2θ = 10–80°, in order of rising 2θ)
2θ 16.0, rel. 60.9; 2θ 18.8, rel. 63.4; 2θ 19.4, rel. 61.7; 2θ 20.8, rel. 30.0; 2θ 25.5, rel. 25.3; 2θ 26.2, rel. 100.0; 2θ 27.0, rel. 40.7; 2θ 27.3, rel. 37.5; 2θ 29.2, rel. 68.9; 2θ 40.8, rel. 30.2


Theoretical XRD peak list of LiLa3Sn3 for copper Kα, from a GGA-PBE-relaxed structure.

Cell and atoms:
Unit cell a=6.398 b=6.398 c=15.546 alpha=108.33 beta=108.33 gamma=44.13
Fractional positions:
Li (0.245, 0.245, 0.403)
Li (0.755, 0.755, 0.597)
La (0.253, 0.253, 0.778)
La (0.406, 0.406, 0.080)
La (0.458, 0.458, 0.614)
La (0.542, 0.542, 0.386)
La (0.594, 0.594, 0.920)
La (0.747, 0.747, 0.222)
Sn (0.040, 0.040, 0.237)
Sn (0.127, 0.127, 0.075)
Sn (0.131, 0.131, 0.552)
Sn (0.869, 0.869, 0.448)
Sn (0.873, 0.873, 0.925)
Sn (0.960, 0.960, 0.763)

Peak list (10 most intense, 2θ = 10–80°, in order of rising 2θ)
2θ 24.9, rel. 25.4; 2θ 29.1, rel. 23.2; 2θ 29.3, rel. 32.2; 2θ 29.6, rel. 100.0; 2θ 30.2, rel. 43.6; 2θ 33.6, rel. 28.2; 2θ 35.8, rel. 57.0; 2θ 36.9, rel. 20.1; 2θ 37.4, rel. 41.8; 2θ 48.8, rel. 30.6


Theoretical XRD peak list of K2Te2Au3 for copper Kα, from a GGA-PBE-relaxed structure.

Cell and atoms:
Unit cell a=8.675 b=8.675 c=8.675 alpha=109.46 beta=109.46 gamma=109.46
Fractional positions:
K (0.000, 0.000, 0.000)
K (0.006, 0.505, 0.510)
K (0.505, 0.510, 0.006)
K (0.510, 0.006, 0.505)
Te (0.005, 0.507, 0.031)
Te (0.031, 0.005, 0.507)
Te (0.478, 0.478, 0.478)
Te (0.507, 0.031, 0.005)
Au (0.033, 0.256, 0.783)
Au (0.256, 0.783, 0.033)
Au (0.478, 0.755, 0.727)
Au (0.727, 0.478, 0.755)
Au (0.755, 0.727, 0.478)
Au (0.783, 0.033, 0.256)

Peak list (10 most intense, 2θ = 10–80°, in order of rising 2θ)
2θ 12.5, rel. 63.6; 2θ 17.7, rel. 90.8; 2θ 21.7, rel. 87.6; 2θ 28.2, rel. 69.1; 2θ 30.9, rel. 42.8; 2θ 33.5, rel. 45.2; 2θ 35.9, rel. 100.0; 2θ 40.3, rel. 45.5; 2θ 46.2, rel. 46.8; 2θ 51.6, rel. 61.2


Theoretical XRD peak list of SbP4O12 for copper Kα, from a GGA-PBE-relaxed structure.

Cell and atoms:
Unit cell a=7.515 b=7.515 c=10.579 alpha=114.91 beta=114.91 gamma=69.27
Fractional positions:
Sb (0.052, 0.948, 0.750)
Sb (0.948, 0.052, 0.250)
P (0.262, 0.729, 0.022)
P (0.271, 0.738, 0.478)
P (0.291, 0.302, 0.822)
P (0.302, 0.291, 0.322)
P (0.698, 0.709, 0.678)
P (0.709, 0.698, 0.178)
P (0.729, 0.262, 0.522)
P (0.738, 0.271, 0.978)
O (0.094, 0.838, 0.088)
O (0.135, 0.261, 0.354)
O (0.162, 0.906, 0.412)
O (0.178, 0.340, 0.682)
O (0.214, 0.745, 0.602)
O (0.253, 0.531, 0.349)
O (0.255, 0.786, 0.898)
O (0.261, 0.135, 0.854)
O (0.266, 0.495, 0.967)
O (0.340, 0.178, 0.182)
O (0.469, 0.747, 0.151)
O (0.495, 0.266, 0.467)
O (0.505, 0.734, 0.533)
O (0.531, 0.253, 0.849)
O (0.660, 0.822, 0.818)
O (0.734, 0.505, 0.033)
O (0.739, 0.865, 0.146)
O (0.745, 0.214, 0.102)
O (0.747, 0.469, 0.651)
O (0.786, 0.255, 0.398)
O (0.822, 0.660, 0.318)
O (0.838, 0.094, 0.588)
O (0.865, 0.739, 0.646)
O (0.906, 0.162, 0.912)

Peak list (10 most intense, 2θ = 10–80°, in order of rising 2θ)
2θ 13.3, rel. 48.6; 2θ 16.7, rel. 41.7; 2θ 19.8, rel. 100.0; 2θ 24.9, rel. 29.9; 2θ 25.4, rel. 13.3; 2θ 27.3, rel. 41.0; 2θ 28.7, rel. 49.3; 2θ 33.7, rel. 18.9; 2θ 35.9, rel. 29.2; 2θ 41.3, rel. 13.6